[1]
Structure and calculated powder XRD pattern of Bi2Pd4S (DFT lattice parameters and positions (PBE); λ = 1.5418 Å (Cu Kα)).
Lines closer than 0.1° are merged.

Structure:
Cell: 4.4510 4.4510 15.3440 Å, 90.00 90.00 90.00°
Space group I4/mmm (No. 139)
Inequivalent atoms, fractional coordinates:
Bi (0.0000, 0.0000, 0.1697) [4 per cell]
Pd (0.0000, 0.0000, 0.3488) [4 per cell]
Pd (0.0000, 0.5000, 0.0000) [4 per cell]
S (0.0000, 0.0000, 0.5000) [2 per cell]

Most intense lines, 10 to 80 degrees two-theta, low angle first:
2θ = 26.55°, d 3.358, intensity 36, (1 0 3); 2θ = 28.36°, d 3.147, intensity 54, (1 1 0); 2θ = 30.70°, d 2.912, intensity 100, (1 1 2); 2θ = 35.09°, d 2.557, intensity 55, (0 0 6); 2θ = 36.94°, d 2.433, intensity 78, (1 1 4); 2θ = 40.53°, d 2.226, intensity 81, (2 0 0); 2θ = 54.67°, d 1.679, intensity 62, (2 0 6); 2θ = 70.23°, d 1.340, intensity 29, (2 2 6)

***

[2]
Structure and calculated powder XRD pattern of BiPd8S2 (DFT lattice parameters and positions (PBE); λ = 1.5418 Å (Cu Kα)).
Lines closer than 0.1° are merged.

Structure:
Cell: 14.6611 5.4939 4.8307 Å, 90.00 108.81 90.00°
Space group C2/m (No. 12)
Inequivalent atoms, fractional coordinates:
Bi (0.0000, 0.0000, 0.0000) [2 per cell]
Pd (0.0978, 0.2516, 0.5986) [8 per cell]
Pd (0.0996, 0.5000, 0.1005) [4 per cell]
Pd (0.2142, 0.0000, 0.2143) [4 per cell]
S (0.2332, 0.0000, 0.7327) [4 per cell]

Most intense lines, 10 to 80 degrees two-theta, low angle first:
2θ = 35.71°, d 2.514, intensity 21, (3 1 1); 2θ = 35.92°, d 2.500, intensity 20, (5 1 -1); 2θ = 36.26°, d 2.477, intensity 41, (5 1 0); 2θ = 37.23°, d 2.415, intensity 73, (2 0 -2); 2θ = 38.25°, d 2.353, intensity 100, (2 2 -1); 2θ = 41.95°, d 2.154, intensity 20, (4 2 0); 2θ = 52.76°, d 1.735, intensity 16, (3 1 2); 2θ = 67.80°, d 1.382, intensity 18, (4 2 -3)

***

[3]
Structure and calculated powder XRD pattern of BiSbPd6 (DFT lattice parameters and positions (PBE); λ = 1.5418 Å (Cu Kα)).
Lines closer than 0.1° are merged.

Structure:
Cell: 8.2309 8.2404 4.0624 Å, 90.00 90.00 90.00°
Space group Cmmm (No. 65)
Inequivalent atoms, fractional coordinates:
Bi (0.0000, 0.0000, 0.0000) [2 per cell]
Sb (0.0000, 0.5000, 0.0000) [2 per cell]
Pd (0.0000, 0.2556, 0.5000) [4 per cell]
Pd (0.2423, 0.5000, 0.5000) [4 per cell]
Pd (0.2500, 0.2500, 0.0000) [4 per cell]

Most intense lines, 10 to 80 degrees two-theta, low angle first:
2θ = 26.76°, d 3.332, intensity 3, (1 1 1); 2θ = 38.02°, d 2.367, intensity 100, (2 2 1); 2θ = 43.98°, d 2.059, intensity 33, (0 4 0); 2θ = 44.61°, d 2.031, intensity 16, (0 0 2); 2θ = 63.95°, d 1.456, intensity 11, (4 4 0); 2θ = 64.44°, d 1.446, intensity 21, (0 4 2); 2θ = 76.88°, d 1.240, intensity 25, (2 6 1); 2θ = 77.78°, d 1.228, intensity 12, (2 2 3)